This entry pairs a crystal structure of PaCdBi2O8 with its theoretical X-ray powder pattern. Radiation: a wavelength of 1.5418 Å. Structure: the GGA-PBE geometry in Alexandria.

Atomic structure:
```
PaCdBi2O8
1.0
-3.682 3.682 3.629
3.682 -3.682 3.629
3.682 3.682 -3.629
Pa Cd Bi O
1 1 2 8
Direct
0.000 0.000 0.000
0.750 0.250 0.500
0.250 0.750 0.500
0.500 0.500 0.000
0.049 0.341 0.291
0.049 0.758 0.709
0.101 0.287 0.813
0.242 0.951 0.291
0.474 0.287 0.187
0.659 0.951 0.709
0.713 0.526 0.813
0.713 0.899 0.187
```

The 12 most intense peaks (5 to 70 degrees two-theta), sorted by position:
17.2 deg, intensity 6
24.2 deg, intensity 99
29.8 deg, intensity 6
30.0 deg, intensity 100
34.4 deg, intensity 29
46.3 deg, intensity 74
49.5 deg, intensity 17
50.3 deg, intensity 8
55.8 deg, intensity 18
56.5 deg, intensity 20
59.0 deg, intensity 20
62.4 deg, intensity 13